The following is a simulated X-ray powder pattern of VF2. It was derived from a GGA+U-relaxed structure, using Cu Kα, 1.54184 Å.

Principal peaks in the range 15 to 90 degrees two-theta, by angle:
2θ/deg  I (rel.)
25.7  100
32.6  46
37.5  28
41.2  10
49.9  68
52.9  20
55.3  13
61.9  14
63.5  27
80.0  10

Crystal structure
a = 4.895 Å, b = 4.895 Å, c = 3.325 Å
α = 90.00°, β = 90.00°, γ = 90.00°
Atoms (fractional coordinates):
V1 0.000 0.000 0.000
V2 0.500 0.500 0.500
F1 0.194 0.194 0.500
F2 0.306 0.694 0.000
F3 0.694 0.306 0.000
F4 0.806 0.806 0.500

The following is a simulated X-ray powder pattern of Li2FeF4. It was derived from a GGA+U-relaxed structure, using Cu Kα, 1.54184 Å.

Principal peaks in the range 15 to 90 degrees two-theta, by angle:
2θ/deg  I (rel.)
15.9  54
24.4  100
26.4  51
37.1  23
40.4  18
49.3  15
49.9  14
50.3  17
53.1  21
54.3  18

Crystal structure
a = 5.847 Å, b = 4.872 Å, c = 5.784 Å
α = 90.00°, β = 107.23°, γ = 90.00°
Atoms (fractional coordinates):
Li1 0.064 0.230 0.399
Li2 0.064 0.270 0.899
Li3 0.936 0.730 0.101
Li4 0.936 0.770 0.601
Fe1 0.500 0.000 0.500
Fe2 0.500 0.500 0.000
F1 0.147 0.679 0.906
F2 0.147 0.821 0.406
F3 0.341 0.243 0.207
F4 0.341 0.257 0.707
F5 0.659 0.743 0.293
F6 0.659 0.757 0.793
F7 0.853 0.179 0.594
F8 0.853 0.321 0.094

The following is a simulated X-ray powder pattern of Li4Co5Te3O16. It was derived from a GGA+U-relaxed structure, using Cu Kα, 1.54184 Å.

Principal peaks in the range 15 to 90 degrees two-theta, by angle:
2θ/deg  I (rel.)
16.6  18
18.0  100
18.7  51
18.7  17
33.8  16
34.5  40
34.8  24
35.0  33
38.0  16
59.8  26

Crystal structure
a = 6.170 Å, b = 6.189 Å, c = 9.863 Å
α = 89.63°, β = 88.27°, γ = 60.12°
Atoms (fractional coordinates):
Li1 0.000 0.000 0.000
Li2 0.020 0.991 0.481
Li3 0.336 0.337 0.896
Li4 0.657 0.680 0.362
Co1 0.140 0.187 0.206
Co2 0.142 0.678 0.207
Co3 0.277 0.361 0.465
Co4 0.319 0.845 0.709
Co5 0.625 0.683 0.012
Te1 0.634 0.185 0.209
Te2 0.812 0.349 0.708
Te3 0.813 0.843 0.709
O1 0.019 0.514 0.322
O2 0.124 0.701 0.600
O3 0.135 0.173 0.595
O4 0.293 0.835 0.101
O5 0.337 0.336 0.097
O6 0.471 0.051 0.330
O7 0.477 0.482 0.329
O8 0.503 0.523 0.823
O9 0.511 0.978 0.820
O10 0.671 0.680 0.594
O11 0.677 0.152 0.597
O12 0.801 0.871 0.096
O13 0.803 0.327 0.093
O14 0.949 0.026 0.304
O15 0.953 0.537 0.825
O16 0.963 0.010 0.815

The following is a simulated X-ray powder pattern of Mo2C4NO7. It was derived from a GGA+U-relaxed structure, using Cu Kα, 1.54184 Å.

Principal peaks in the range 15 to 90 degrees two-theta, by angle:
2θ/deg  I (rel.)
20.8  38
21.2  78
24.2  42
25.6  68
26.0  62
27.4  100
28.6  39
29.4  44
35.3  41
41.1  42

Crystal structure
a = 9.084 Å, b = 10.515 Å, c = 11.515 Å
α = 76.40°, β = 82.57°, γ = 68.14°
Atoms (fractional coordinates):
Mo1 0.061 0.305 0.243
Mo2 0.141 0.201 0.967
Mo3 0.190 0.520 0.026
Mo4 0.253 0.417 0.763
Mo5 0.747 0.583 0.237
Mo6 0.810 0.480 0.974
Mo7 0.859 0.799 0.033
Mo8 0.939 0.695 0.757
C1 0.080 0.850 0.338
C2 0.247 0.627 0.392
C3 0.250 0.793 0.328
C4 0.354 0.803 0.003
C5 0.381 0.665 0.350
C6 0.416 0.850 0.783
C7 0.420 0.834 0.666
C8 0.485 0.103 0.306
C9 0.515 0.897 0.694
C10 0.580 0.166 0.334
C11 0.584 0.150 0.217
C12 0.619 0.335 0.650
C13 0.646 0.197 0.997
C14 0.750 0.207 0.672
C15 0.753 0.373 0.608
C16 0.920 0.150 0.662
N1 0.126 0.739 0.434
N2 0.370 0.830 0.896
N3 0.630 0.170 0.104
N4 0.874 0.261 0.566
O1 0.052 0.703 0.939
O2 0.059 0.157 0.863
O3 0.061 0.452 0.880
O4 0.107 0.128 0.294
O5 0.140 0.360 0.341
O6 0.165 0.616 0.715
O7 0.181 0.374 0.653
O8 0.207 0.327 0.100
O9 0.234 0.047 0.064
O10 0.264 0.566 0.132
O11 0.302 0.215 0.511
O12 0.319 0.242 0.871
O13 0.342 0.484 0.912
O14 0.477 0.389 0.684
O15 0.523 0.611 0.316
O16 0.658 0.516 0.088
O17 0.681 0.758 0.129
O18 0.698 0.785 0.489
O19 0.736 0.434 0.868
O20 0.766 0.953 0.936
O21 0.793 0.673 0.900
O22 0.819 0.626 0.347
O23 0.835 0.384 0.285
O24 0.860 0.640 0.659
O25 0.893 0.872 0.706
O26 0.939 0.548 0.120
O27 0.941 0.843 0.137
O28 0.948 0.297 0.061

The following is a simulated X-ray powder pattern of NaFe11O17. It was derived from a GGA+U-relaxed structure, using Cu Kα, 1.54184 Å.

Principal peaks in the range 15 to 90 degrees two-theta, by angle:
2θ/deg  I (rel.)
18.5  33
29.5  30
31.1  100
31.2  49
33.1  45
33.2  45
34.5  55
36.1  36
37.3  48
61.3  71

Crystal structure
a = 6.033 Å, b = 6.048 Å, c = 24.096 Å
α = 89.73°, β = 89.89°, γ = 60.14°
Atoms (fractional coordinates):
Na1 0.000 0.000 0.000
Na2 0.331 0.334 0.499
Fe1 0.000 0.001 0.274
Fe2 0.001 0.002 0.723
Fe3 0.001 0.997 0.575
Fe4 0.001 0.998 0.423
Fe5 0.003 0.499 0.355
Fe6 0.007 0.492 0.645
Fe7 0.331 0.834 0.142
Fe8 0.332 0.334 0.774
Fe9 0.332 0.835 0.855
Fe10 0.333 0.334 0.074
Fe11 0.334 0.333 0.223
Fe12 0.334 0.333 0.923
Fe13 0.499 0.501 0.641
Fe14 0.500 0.001 0.355
Fe15 0.500 0.499 0.355
Fe16 0.502 0.999 0.642
Fe17 0.665 0.670 0.748
Fe18 0.667 0.667 0.249
Fe19 0.834 0.332 0.142
Fe20 0.834 0.834 0.142
Fe21 0.835 0.331 0.855
Fe22 0.835 0.835 0.855
O1 0.000 0.000 0.193
O2 0.000 0.001 0.804
O3 0.000 0.999 0.499
O4 0.160 0.160 0.101
O5 0.160 0.680 0.101
O6 0.161 0.160 0.896
O7 0.161 0.679 0.896
O8 0.168 0.652 0.602
O9 0.174 0.172 0.396
O10 0.174 0.652 0.397
O11 0.181 0.161 0.600
O12 0.328 0.338 0.693
O13 0.334 0.333 0.304
O14 0.335 0.333 0.998
O15 0.353 0.822 0.697
O16 0.353 0.824 0.299
O17 0.508 0.981 0.799
O18 0.509 0.509 0.799
O19 0.510 0.510 0.198
O20 0.510 0.980 0.198
O21 0.653 0.176 0.601
O22 0.655 0.172 0.396
O23 0.667 0.666 0.392
O24 0.667 0.666 0.891
O25 0.667 0.667 0.106
O26 0.680 0.160 0.101
O27 0.681 0.159 0.896
O28 0.682 0.661 0.607
O29 0.816 0.834 0.699
O30 0.824 0.353 0.299
O31 0.824 0.823 0.299
O32 0.827 0.356 0.697
O33 0.980 0.510 0.799
O34 0.981 0.510 0.198

The following is a simulated X-ray powder pattern of Ti3V2P6WO24. It was derived from a GGA+U-relaxed structure, using Cu Kα, 1.54184 Å.

Principal peaks in the range 15 to 90 degrees two-theta, by angle:
2θ/deg  I (rel.)
20.3  98
20.5  32
24.0  100
29.0  20
32.7  70
35.7  54
46.8  31
49.1  26
55.7  31
62.1  20

Crystal structure
a = 8.663 Å, b = 8.663 Å, c = 8.663 Å
α = 60.50°, β = 60.50°, γ = 60.50°
Atoms (fractional coordinates):
Ti1 0.000 0.000 0.000
Ti2 0.210 0.210 0.210
Ti3 0.710 0.710 0.710
V1 0.351 0.351 0.351
V2 0.856 0.856 0.856
P1 0.099 0.815 0.398
P2 0.308 0.606 0.902
P3 0.398 0.099 0.815
P4 0.606 0.902 0.308
P5 0.815 0.398 0.099
P6 0.902 0.308 0.606
W1 0.495 0.495 0.495
O1 0.029 0.867 0.241
O2 0.095 0.295 0.445
O3 0.115 0.769 0.924
O4 0.170 0.969 0.354
O5 0.241 0.029 0.867
O6 0.253 0.619 0.408
O7 0.295 0.445 0.095
O8 0.337 0.545 0.752
O9 0.354 0.170 0.969
O10 0.408 0.253 0.619
O11 0.445 0.095 0.295
O12 0.471 0.669 0.854
O13 0.545 0.752 0.337
O14 0.593 0.940 0.801
O15 0.619 0.408 0.253
O16 0.669 0.854 0.471
O17 0.752 0.337 0.545
O18 0.769 0.924 0.115
O19 0.801 0.593 0.940
O20 0.854 0.471 0.669
O21 0.867 0.241 0.029
O22 0.924 0.115 0.769
O23 0.940 0.801 0.593
O24 0.969 0.354 0.170

Please write out number 6 again, unchanged.
The following is a simulated X-ray powder pattern of Ti3V2P6WO24. It was derived from a GGA+U-relaxed structure, using Cu Kα, 1.54184 Å.

Principal peaks in the range 15 to 90 degrees two-theta, by angle:
2θ/deg  I (rel.)
20.3  98
20.5  32
24.0  100
29.0  20
32.7  70
35.7  54
46.8  31
49.1  26
55.7  31
62.1  20

Crystal structure
a = 8.663 Å, b = 8.663 Å, c = 8.663 Å
α = 60.50°, β = 60.50°, γ = 60.50°
Atoms (fractional coordinates):
Ti1 0.000 0.000 0.000
Ti2 0.210 0.210 0.210
Ti3 0.710 0.710 0.710
V1 0.351 0.351 0.351
V2 0.856 0.856 0.856
P1 0.099 0.815 0.398
P2 0.308 0.606 0.902
P3 0.398 0.099 0.815
P4 0.606 0.902 0.308
P5 0.815 0.398 0.099
P6 0.902 0.308 0.606
W1 0.495 0.495 0.495
O1 0.029 0.867 0.241
O2 0.095 0.295 0.445
O3 0.115 0.769 0.924
O4 0.170 0.969 0.354
O5 0.241 0.029 0.867
O6 0.253 0.619 0.408
O7 0.295 0.445 0.095
O8 0.337 0.545 0.752
O9 0.354 0.170 0.969
O10 0.408 0.253 0.619
O11 0.445 0.095 0.295
O12 0.471 0.669 0.854
O13 0.545 0.752 0.337
O14 0.593 0.940 0.801
O15 0.619 0.408 0.253
O16 0.669 0.854 0.471
O17 0.752 0.337 0.545
O18 0.769 0.924 0.115
O19 0.801 0.593 0.940
O20 0.854 0.471 0.669
O21 0.867 0.241 0.029
O22 0.924 0.115 0.769
O23 0.940 0.801 0.593
O24 0.969 0.354 0.170

Number 2 is which compound?
Li2FeF4

Which formula does entry 2 have?
Li2FeF4